[1]
For Na4NbInSi3O12, a crystal structure in the Materials Project, relaxed with GGA-PBE gives the theoretical XRD peak list in this record (Cu Kα X-rays).
Neutral-atom scattering factors, no anomalous dispersion.

Structure:
a = 9.200 Å, b = 9.200 Å, c = 9.200 Å
α = 60.29°, β = 60.29°, γ = 60.29°
Fractional coordinates of all 42 atoms:
Na  0.000  0.000  0.000
Na  0.126  0.390  0.740
Na  0.240  0.890  0.626
Na  0.390  0.740  0.126
Na  0.500  0.500  0.500
Na  0.626  0.240  0.890
Na  0.740  0.126  0.390
Na  0.890  0.626  0.240
Nb  0.152  0.152  0.152
Nb  0.652  0.652  0.652
In  0.355  0.355  0.355
In  0.855  0.855  0.855
Si  0.050  0.757  0.461
Si  0.257  0.550  0.961
Si  0.461  0.050  0.757
Si  0.550  0.961  0.257
Si  0.757  0.461  0.050
Si  0.961  0.257  0.550
O  0.002  0.228  0.363
O  0.034  0.781  0.630
O  0.060  0.938  0.281
O  0.093  0.731  0.927
O  0.130  0.281  0.534
O  0.228  0.363  0.002
O  0.231  0.593  0.427
O  0.281  0.060  0.938
O  0.281  0.534  0.130
O  0.363  0.002  0.228
O  0.427  0.231  0.593
O  0.438  0.560  0.781
O  0.502  0.863  0.728
O  0.534  0.130  0.281
O  0.560  0.781  0.438
O  0.593  0.427  0.231
O  0.630  0.034  0.781
O  0.728  0.502  0.863
O  0.731  0.927  0.093
O  0.781  0.438  0.560
O  0.781  0.630  0.034
O  0.863  0.728  0.502
O  0.927  0.093  0.731
O  0.938  0.281  0.060

Peak list (10 most intense, 2θ from 5° to 70°, in order of rising 2θ)
- 13.58°, intensity 14
- 19.26°, intensity 100
- 27.36°, intensity 24
- 30.72°, intensity 69
- 33.61°, intensity 51
- 43.86°, intensity 11
- 46.16°, intensity 27
- 50.58°, intensity 14
- 52.41°, intensity 19
- 58.29°, intensity 19



[2]
For VIr, a crystal structure in the Materials Project, relaxed with GGA-PBE gives the theoretical XRD peak list in this record (Cu Kα X-rays).
Neutral-atom scattering factors, no anomalous dispersion.

Structure:
a = 8.660 Å, b = 8.660 Å, c = 6.642 Å
α = 108.62°, β = 108.62°, γ = 80.02°
Fractional coordinates of all 32 atoms:
V  0.018  0.258  0.737
V  0.115  0.885  0.000
V  0.127  0.377  0.508
V  0.236  0.495  0.281
V  0.258  0.018  0.737
V  0.366  0.634  0.000
V  0.377  0.127  0.508
V  0.495  0.236  0.281
V  0.505  0.764  0.719
V  0.623  0.873  0.492
V  0.634  0.366  0.000
V  0.742  0.982  0.263
V  0.764  0.505  0.719
V  0.873  0.623  0.492
V  0.885  0.115  0.000
V  0.982  0.742  0.263
Ir  0.058  0.058  0.369
Ir  0.069  0.572  0.896
Ir  0.186  0.186  0.120
Ir  0.195  0.700  0.641
Ir  0.300  0.805  0.359
Ir  0.327  0.327  0.909
Ir  0.428  0.931  0.104
Ir  0.452  0.452  0.651
Ir  0.548  0.548  0.349
Ir  0.572  0.069  0.896
Ir  0.673  0.673  0.091
Ir  0.700  0.195  0.641
Ir  0.805  0.300  0.359
Ir  0.814  0.814  0.880
Ir  0.931  0.428  0.104
Ir  0.942  0.942  0.631

Peak list (10 most intense, 2θ from 5° to 70°, in order of rising 2θ)
- 24.84°, intensity 59
- 32.04°, intensity 36
- 32.16°, intensity 35
- 40.96°, intensity 98
- 41.06°, intensity 100
- 46.03°, intensity 73
- 50.97°, intensity 26
- 53.01°, intensity 35
- 67.01°, intensity 11
- 67.27°, intensity 12